Record 1
The following is a computed powder diffractogram of Cd13In2. It was derived from a DFT-relaxed cell (GGA-PBE, Alexandria), using Cu Kα (λ = 1.5418 Å).
Peak positions follow from Bragg's law for the DFT cell and can differ from measured ones.

Crystal structure
```
data_Cd13In2
_cell_length_a 5.2209
_cell_length_b 7.8189
_cell_length_c 9.1497
_cell_angle_alpha 71.91
_cell_angle_beta 82.19
_cell_angle_gamma 86.17
_space_group_name_H-M_alt 'P -1'
_space_group_IT_number 2
_space_group_name_Hall '-P 1'
loop_
_atom_site_label
_atom_site_type_symbol
_atom_site_fract_x
_atom_site_fract_y
_atom_site_fract_z
_atom_site_occupancy
Cd1 Cd 0.0000 0.0000 0.0000 1
Cd2 Cd 0.1359 0.2723 0.1901 1
Cd3 Cd 0.2000 0.4000 0.8011 1
Cd4 Cd 0.2716 0.5355 0.3983 1
Cd5 Cd 0.3327 0.6656 0.0047 1
Cd6 Cd 0.4001 0.7932 0.6135 1
Cd7 Cd 0.4663 0.9359 0.1937 1
In1 In 0.0703 0.1348 0.5993 1
```

Largest 12 diffraction maxima, sorted by position, 10 to 80 degrees two-theta:
2theta  I/Imax  index
32.3  88  1 1 3
33.2  81  1 1 -2
34.5  74  0 3 1
37.1  61  2 -1 0
39.6  100  -1 2 3
40.4  48  2 2 1
53.0  20  0 0 5
55.3  18  1 4 4
56.6  17  1 4 -1
59.0  15  3 0 3
60.2  14  3 0 -2
61.2  13  -2 4 1

---

Record 2
The following is a computed powder diffractogram of CdIn6. It was derived from a DFT-relaxed cell (GGA-PBE, Alexandria), using Cu Kα (λ = 1.5418 Å).
Peak positions follow from Bragg's law for the DFT cell and can differ from measured ones.

Crystal structure
```
data_CdIn6
_cell_length_a 5.4236
_cell_length_b 5.4236
_cell_length_c 22.2287
_cell_angle_alpha 90.00
_cell_angle_beta 90.00
_cell_angle_gamma 120.00
_space_group_name_H-M_alt 'R -3 m'
_space_group_IT_number 166
_space_group_name_Hall '-R 3 2"'
loop_
_atom_site_label
_atom_site_type_symbol
_atom_site_fract_x
_atom_site_fract_y
_atom_site_fract_z
_atom_site_occupancy
Cd1 Cd 0.0000 0.0000 0.0000 1
In1 In 0.0000 0.0000 0.1417 1
In2 In 0.0000 0.0000 0.2856 1
In3 In 0.0000 0.0000 0.4293 1
```

Largest 9 diffraction maxima, sorted by position, 10 to 80 degrees two-theta:
2theta  I/Imax  index
33.0  100  1 1 0
34.1  92  1 0 7
48.2  34  0 2 7
59.0  18  3 0 0
59.7  35  2 1 7
61.7  16  0 1 14
69.3  11  2 2 0
71.8  10  2 0 14
79.5  15  1 3 7

---

Record 3
The following is a computed powder diffractogram of Cd6In5. It was derived from a DFT-relaxed cell (GGA-PBE, Alexandria), using Cu Kα (λ = 1.5418 Å).
Peak positions follow from Bragg's law for the DFT cell and can differ from measured ones.

Crystal structure
```
data_Cd6In5
_cell_length_a 5.8599
_cell_length_b 5.9573
_cell_length_c 8.5007
_cell_angle_alpha 103.59
_cell_angle_beta 91.63
_cell_angle_gamma 106.89
_space_group_name_H-M_alt 'P -1'
_space_group_IT_number 2
_space_group_name_Hall '-P 1'
loop_
_atom_site_label
_atom_site_type_symbol
_atom_site_fract_x
_atom_site_fract_y
_atom_site_fract_z
_atom_site_occupancy
Cd1 Cd 0.0968 0.0526 0.1782 1
Cd2 Cd 0.1749 0.5779 0.3669 1
Cd3 Cd 0.3645 0.6715 0.7244 1
In1 In 0.0000 0.5000 0.0000 1
In2 In 0.2784 0.1310 0.5369 1
In3 In 0.4501 0.2175 0.9068 1
```

Largest 12 diffraction maxima, sorted by position, 10 to 80 degrees two-theta:
2theta  I/Imax  index
31.5  100  1 -2 0
32.6  91  0 1 -3
32.8  90  2 0 -1
37.7  61  1 1 2
37.8  61  2 -1 2
39.4  53  1 2 -1
40.2  51  -1 1 3
51.2  24  1 -3 3
52.2  23  -3 2 1
60.1  29  3 1 1
60.4  29  1 0 5
65.3  23  4 -1 1

---

Record 4
The following is a computed powder diffractogram of CdIn3. It was derived from a DFT-relaxed cell (GGA-PBE, Alexandria), using Cu Kα (λ = 1.5418 Å).
Peak positions follow from Bragg's law for the DFT cell and can differ from measured ones.

Crystal structure
```
data_CdIn3
_cell_length_a 5.6453
_cell_length_b 6.5240
_cell_length_c 5.7368
_cell_angle_alpha 90.00
_cell_angle_beta 90.00
_cell_angle_gamma 90.00
_space_group_name_H-M_alt 'P m m n'
_space_group_IT_number 59
loop_
_space_group_symop_operation_xyz
'x,y,z'
'-x,-y,-z'
'-x+1/2,-y+1/2,z'
'x+1/2,y+1/2,-z'
'x+1/2,-y,-z'
'-x+1/2,y,z'
'-x,y+1/2,-z'
'x,-y+1/2,z'
loop_
_atom_site_label
_atom_site_type_symbol
_atom_site_fract_x
_atom_site_fract_y
_atom_site_fract_z
_atom_site_occupancy
Cd1 Cd 0.2500 0.2500 0.1604 1
In1 In 0.2500 0.0011 0.6560 1
In2 In 0.2500 0.7500 0.1494 1
```

Largest 12 diffraction maxima, sorted by position, 10 to 80 degrees two-theta:
2theta  I/Imax  index
31.6  31  0 2 1
31.7  49  2 0 0
35.1  64  1 0 2
35.4  100  1 2 1
45.3  22  2 2 1
55.7  18  0 2 3
56.4  9  0 4 0
58.7  14  3 0 2
58.9  22  3 2 1
65.5  22  2 2 3
66.2  17  4 0 0
68.2  17  1 4 2

---

Record 5
The following is a computed powder diffractogram of K3Cd8In. It was derived from a DFT-relaxed cell (GGA-PBE, Alexandria), using Cu Kα (λ = 1.5418 Å).
Peak positions follow from Bragg's law for the DFT cell and can differ from measured ones.

Crystal structure
```
data_K3Cd8In
_cell_length_a 6.2371
_cell_length_b 6.2371
_cell_length_c 31.0127
_cell_angle_alpha 90.00
_cell_angle_beta 90.00
_cell_angle_gamma 120.00
_space_group_name_H-M_alt 'R 3 m'
_space_group_IT_number 160
_space_group_name_Hall 'R 3 -2"'
loop_
_atom_site_label
_atom_site_type_symbol
_atom_site_fract_x
_atom_site_fract_y
_atom_site_fract_z
_atom_site_occupancy
K1 K 0.0000 0.0000 0.0000 1
K2 K 0.0000 0.0000 0.1278 1
K3 K 0.0000 0.0000 0.6223 1
Cd1 Cd 0.0000 0.0000 0.3130 1
Cd2 Cd 0.0000 0.0000 0.8129 1
Cd3 Cd 0.0020 0.5010 0.0643 1
Cd4 Cd 0.1678 0.3355 0.8943 1
In1 In 0.0000 0.0000 0.5013 1
```

Largest 12 diffraction maxima, sorted by position, 10 to 80 degrees two-theta:
2theta  I/Imax  index
17.4  54  0 1 2
33.3  53  1 0 10
33.6  100  1 1 6
33.7  50  2 0 2
34.7  32  0 0 12
35.2  96  0 2 4
40.7  34  2 0 8
53.8  25  2 1 10
53.9  24  3 0 6
58.6  31  0 2 16
59.3  31  2 2 0
70.5  22  2 2 12

---

Record 6
The following is a computed powder diffractogram of KCdIn. It was derived from a DFT-relaxed cell (GGA-PBE, Alexandria), using Cu Kα (λ = 1.5418 Å).
Peak positions follow from Bragg's law for the DFT cell and can differ from measured ones.

Crystal structure
```
data_KCdIn
_cell_length_a 5.2641
_cell_length_b 6.5598
_cell_length_c 6.7305
_cell_angle_alpha 82.51
_cell_angle_beta 67.13
_cell_angle_gamma 66.53
_space_group_name_H-M_alt 'P -1'
_space_group_IT_number 2
_space_group_name_Hall '-P 1'
loop_
_atom_site_label
_atom_site_type_symbol
_atom_site_fract_x
_atom_site_fract_y
_atom_site_fract_z
_atom_site_occupancy
K1 K 0.0702 0.1816 0.1758 1
Cd1 Cd 0.3399 0.5848 0.2353 1
In1 In 0.3358 0.2372 0.5883 1
```

Largest 12 diffraction maxima, sorted by position, 10 to 80 degrees two-theta:
2theta  I/Imax  index
14.3  53  0 0 1
14.7  53  0 1 0
19.8  74  1 1 1
28.3  54  1 0 2
28.7  58  1 1 2
32.1  73  0 1 -2
32.7  66  0 2 -1
34.1  100  2 1 1
35.9  67  -1 1 1
36.0  66  1 2 2
40.7  48  1 0 3
47.5  48  2 2 -1

---

Record 7
The following is a computed powder diffractogram of K5Cd6In. It was derived from a DFT-relaxed cell (GGA-PBE, Alexandria), using Cu Kα (λ = 1.5418 Å).
Peak positions follow from Bragg's law for the DFT cell and can differ from measured ones.

Crystal structure
```
data_K5Cd6In
_cell_length_a 6.8509
_cell_length_b 11.9767
_cell_length_c 11.1098
_cell_angle_alpha 90.00
_cell_angle_beta 101.71
_cell_angle_gamma 90.00
_space_group_name_H-M_alt 'C 1 2/m 1'
_space_group_IT_number 12
_space_group_name_Hall '-C 2y'
loop_
_atom_site_label
_atom_site_type_symbol
_atom_site_fract_x
_atom_site_fract_y
_atom_site_fract_z
_atom_site_occupancy
K1 K 0.0000 0.0000 0.0000 1
K2 K 0.0000 0.1660 0.5000 1
K3 K 0.0000 0.3198 0.0000 1
Cd1 Cd 0.1970 0.5000 0.2572 1
Cd2 Cd 0.2129 0.3657 0.7353 1
In1 In 0.0000 0.5000 0.5000 1
```

Largest 12 diffraction maxima, sorted by position, 10 to 80 degrees two-theta:
2theta  I/Imax  index
14.8  16  0 2 0
15.1  24  1 1 0
15.9  14  1 1 -1
16.3  28  0 0 2
28.1  100  1 3 1
28.3  53  2 0 -2
32.9  39  0 0 4
34.1  88  1 3 -3
41.1  12  3 1 -2
41.4  12  1 5 1
45.8  17  3 3 -1
52.1  14  1 3 5

---

Record 8
The following is a computed powder diffractogram of KCd6In4. It was derived from a DFT-relaxed cell (GGA-PBE, Alexandria), using Cu Kα (λ = 1.5418 Å).
Peak positions follow from Bragg's law for the DFT cell and can differ from measured ones.

Crystal structure
```
data_KCd6In4
_cell_length_a 8.3778
_cell_length_b 8.3778
_cell_length_c 4.9790
_cell_angle_alpha 90.00
_cell_angle_beta 90.00
_cell_angle_gamma 120.00
_space_group_name_H-M_alt 'P -6 m 2'
_space_group_IT_number 187
_space_group_name_Hall 'P -6 2'
loop_
_atom_site_label
_atom_site_type_symbol
_atom_site_fract_x
_atom_site_fract_y
_atom_site_fract_z
_atom_site_occupancy
K1 K 0.0000 0.0000 0.0000 1
Cd1 Cd 0.2034 0.4067 0.5000 1
Cd2 Cd 0.5386 0.0771 0.0000 1
In1 In 0.3333 0.6667 0.0000 1
In2 In 0.4052 0.2026 0.5000 1
```

Largest 12 diffraction maxima, sorted by position, 10 to 80 degrees two-theta:
2theta  I/Imax  index
12.2  45  1 0 0
27.8  18  1 1 1
30.5  84  2 0 1
32.7  35  2 1 0
36.1  42  0 0 2
37.4  100  2 1 1
41.5  20  3 0 1
43.2  20  2 2 0
49.4  21  2 1 2
57.5  17  2 2 2
65.8  18  2 1 3
67.2  24  5 0 1

---

Record 9
The following is a computed powder diffractogram of KCd10In2. It was derived from a DFT-relaxed cell (GGA-PBE, Alexandria), using Cu Kα (λ = 1.5418 Å).
Peak positions follow from Bragg's law for the DFT cell and can differ from measured ones.

Crystal structure
```
data_KCd10In2
_cell_length_a 6.1896
_cell_length_b 14.5449
_cell_length_c 14.5843
_cell_angle_alpha 90.00
_cell_angle_beta 90.00
_cell_angle_gamma 90.00
_space_group_name_H-M_alt 'F m m m'
_space_group_IT_number 69
_space_group_name_Hall '-F 2 2'
loop_
_atom_site_label
_atom_site_type_symbol
_atom_site_fract_x
_atom_site_fract_y
_atom_site_fract_z
_atom_site_occupancy
K1 K 0.0000 0.0000 0.0000 1
Cd1 Cd 0.0000 0.1096 0.3940 1
Cd2 Cd 0.0000 0.1808 0.1758 1
Cd3 Cd 0.2500 0.2500 0.0000 1
In1 In 0.2500 0.0000 0.2500 1
```

Largest 12 diffraction maxima, sorted by position, 10 to 80 degrees two-theta:
2theta  I/Imax  index
12.2  19  0 2 0
16.7  20  1 1 1
17.2  21  0 2 2
29.8  33  1 3 3
33.8  77  2 2 2
34.6  87  1 5 1
34.8  59  0 4 4
38.2  100  2 0 4
38.9  54  1 5 3
39.1  57  0 2 6
54.9  22  3 5 1
61.8  28  2 6 6

---

Record 10
The following is a computed powder diffractogram of KCd2In8. It was derived from a DFT-relaxed cell (GGA-PBE, Alexandria), using Cu Kα (λ = 1.5418 Å).
Peak positions follow from Bragg's law for the DFT cell and can differ from measured ones.

Crystal structure
```
data_KCd2In8
_cell_length_a 6.7467
_cell_length_b 8.8991
_cell_length_c 11.3692
_cell_angle_alpha 90.00
_cell_angle_beta 90.00
_cell_angle_gamma 90.00
_space_group_name_H-M_alt 'C m m m'
_space_group_IT_number 65
_space_group_name_Hall '-C 2 2'
loop_
_atom_site_label
_atom_site_type_symbol
_atom_site_fract_x
_atom_site_fract_y
_atom_site_fract_z
_atom_site_occupancy
K1 K 0.0000 0.0000 0.0000 1
Cd1 Cd 0.0000 0.0000 0.3535 1
In1 In 0.0000 0.5000 0.3540 1
In2 In 0.2500 0.2500 0.2109 1
In3 In 0.2500 0.2500 0.5000 1
```

Largest 12 diffraction maxima, sorted by position, 10 to 80 degrees two-theta:
2theta  I/Imax  index
15.6  15  0 0 2
31.0  87  0 2 3
33.3  100  2 2 0
34.3  17  2 2 1
35.6  59  2 0 3
37.5  36  0 2 4
40.5  29  0 4 0
41.5  27  2 0 4
55.1  35  2 4 3
59.5  18  2 4 4
63.9  20  4 2 3
67.4  21  2 2 7

---

Record 11
The following is a computed powder diffractogram of KCd4In3. It was derived from a DFT-relaxed cell (GGA-PBE, Alexandria), using Cu Kα (λ = 1.5418 Å).
Peak positions follow from Bragg's law for the DFT cell and can differ from measured ones.

Crystal structure
```
data_KCd4In3
_cell_length_a 4.9390
_cell_length_b 4.9390
_cell_length_c 9.5281
_cell_angle_alpha 90.00
_cell_angle_beta 90.00
_cell_angle_gamma 90.00
_space_group_name_H-M_alt 'P 4/m m m'
_space_group_IT_number 123
_space_group_name_Hall '-P 4 2'
loop_
_atom_site_label
_atom_site_type_symbol
_atom_site_fract_x
_atom_site_fract_y
_atom_site_fract_z
_atom_site_occupancy
K1 K 0.0000 0.0000 0.0000 1
Cd1 Cd 0.0000 0.5000 0.3231 1
In1 In 0.0000 0.0000 0.5000 1
In2 In 0.5000 0.5000 0.1529 1
```

Largest 12 diffraction maxima, sorted by position, 10 to 80 degrees two-theta:
2theta  I/Imax  index
20.3  39  1 0 1
26.0  28  1 0 2
27.2  30  1 1 1
31.8  37  1 1 2
36.4  74  2 0 0
38.3  100  1 1 3
42.0  12  2 1 1
42.1  15  1 0 4
45.3  12  2 1 2
52.4  25  2 2 0
66.7  37  3 1 3
70.5  17  2 0 6

---

Record 12
The following is a computed powder diffractogram of KCd6In2. It was derived from a DFT-relaxed cell (GGA-PBE, Alexandria), using Cu Kα (λ = 1.5418 Å).
Peak positions follow from Bragg's law for the DFT cell and can differ from measured ones.

Crystal structure
```
data_KCd6In2
_cell_length_a 4.6290
_cell_length_b 4.6290
_cell_length_c 11.0358
_cell_angle_alpha 90.00
_cell_angle_beta 90.00
_cell_angle_gamma 90.00
_space_group_name_H-M_alt 'P 4/m m m'
_space_group_IT_number 123
_space_group_name_Hall '-P 4 2'
loop_
_atom_site_label
_atom_site_type_symbol
_atom_site_fract_x
_atom_site_fract_y
_atom_site_fract_z
_atom_site_occupancy
K1 K 0.0000 0.0000 0.0000 1
Cd1 Cd 0.0000 0.0000 0.5000 1
Cd2 Cd 0.0000 0.5000 0.3059 1
Cd3 Cd 0.5000 0.5000 0.5000 1
In1 In 0.5000 0.5000 0.1373 1
```

Largest 12 diffraction maxima, sorted by position, 10 to 80 degrees two-theta:
2theta  I/Imax  index
19.2  15  1 0 0
31.1  15  1 0 3
31.8  82  1 1 2
36.8  100  1 1 3
38.9  64  2 0 0
40.9  16  0 0 5
56.2  21  2 2 0
57.7  22  2 0 5
66.0  18  3 1 2
69.1  30  3 1 3
71.8  11  2 2 5
74.7  15  1 1 8

---

Record 13
The following is a computed powder diffractogram of K3Cd2In4. It was derived from a DFT-relaxed cell (GGA-PBE, Alexandria), using Cu Kα (λ = 1.5418 Å).
Peak positions follow from Bragg's law for the DFT cell and can differ from measured ones.

Crystal structure
```
data_K3Cd2In4
_cell_length_a 5.0082
_cell_length_b 7.0924
_cell_length_c 10.3910
_cell_angle_alpha 108.91
_cell_angle_beta 90.16
_cell_angle_gamma 110.60
_space_group_name_H-M_alt 'P -1'
_space_group_IT_number 2
_space_group_name_Hall '-P 1'
loop_
_atom_site_label
_atom_site_type_symbol
_atom_site_fract_x
_atom_site_fract_y
_atom_site_fract_z
_atom_site_occupancy
K1 K 0.0000 0.0000 0.0000 1
K2 K 0.3788 0.7565 0.6287 1
Cd1 Cd 0.3173 0.6339 0.2392 1
In1 In 0.0893 0.1802 0.6292 1
In2 In 0.2830 0.5647 0.9243 1
```

Largest 12 diffraction maxima, sorted by position, 10 to 80 degrees two-theta:
2theta  I/Imax  index
14.0  100  0 1 -1
14.2  24  0 1 0
27.9  34  1 1 0
29.0  21  1 1 -2
31.5  22  1 -1 3
31.7  17  1 1 1
32.2  25  0 2 -3
35.7  51  -1 1 3
35.9  34  2 -1 0
37.6  25  -1 2 2
40.5  19  1 -3 0
52.3  21  1 3 -1

---

Record 14
The following is a computed powder diffractogram of KCd3In2. It was derived from a DFT-relaxed cell (GGA-PBE, Alexandria), using Cu Kα (λ = 1.5418 Å).
Peak positions follow from Bragg's law for the DFT cell and can differ from measured ones.

Crystal structure
```
data_KCd3In2
_cell_length_a 11.2357
_cell_length_b 9.6488
_cell_length_c 6.4424
_cell_angle_alpha 90.00
_cell_angle_beta 90.00
_cell_angle_gamma 90.00
_space_group_name_H-M_alt 'C m c m'
_space_group_IT_number 63
_space_group_name_Hall '-C 2c 2'
loop_
_atom_site_label
_atom_site_type_symbol
_atom_site_fract_x
_atom_site_fract_y
_atom_site_fract_z
_atom_site_occupancy
K1 K 0.0000 0.1678 0.2500 1
Cd1 Cd 0.0000 0.4579 0.7500 1
Cd2 Cd 0.1461 0.2111 0.7500 1
In1 In 0.2256 0.5000 0.0000 1
```

Largest 12 diffraction maxima, sorted by position, 10 to 80 degrees two-theta:
2theta  I/Imax  index
12.1  38  1 1 0
18.4  70  1 1 1
28.9  38  1 3 0
29.1  53  3 1 1
32.0  47  2 0 2
33.4  52  0 2 2
37.0  60  4 2 0
37.2  100  0 4 0
38.0  34  3 1 2
39.5  29  3 3 1
50.0  22  2 4 2
57.2  25  0 0 4